Starting from a structure optimized by DFT (PBE), the powder X-ray diffraction pattern of Na3LaZnP2SO12 was computed for CuKα.

Structural model:
a b c (Å): 16.2683 9.4012 9.2896
angles (deg): 90.00 123.29 90.00
Space group Cc (No. 9)
Unique sites:
Na (0.0000, 0.0651, 0.0000) [4 per cell]
Na (0.3658, 0.0676, 0.0051) [4 per cell]
Na (0.4223, 0.2639, 0.7367) [4 per cell]
La (0.1053, 0.2559, 0.7243) [4 per cell]
Zn (0.2884, 0.2594, 0.3122) [4 per cell]
P (0.2047, 0.0482, 0.5225) [4 per cell]
P (0.3508, 0.4096, 0.0387) [4 per cell]
S (0.0392, 0.3887, 0.0221) [4 per cell]
O (0.0241, 0.4553, 0.5331) [4 per cell]
O (0.0271, 0.3674, 0.8534) [4 per cell]
O (0.1296, 0.1426, 0.5324) [4 per cell]
O (0.1361, 0.3372, 0.1653) [4 per cell]
O (0.1382, 0.0424, 0.8584) [4 per cell]
O (0.2582, 0.3432, 0.8810) [4 per cell]
O (0.2662, 0.0504, 0.1826) [4 per cell]
O (0.2790, 0.1391, 0.5040) [4 per cell]
O (0.3553, 0.3735, 0.2066) [4 per cell]
O (0.3558, 0.4270, 0.5188) [4 per cell]
O (0.4389, 0.3385, 0.0394) [4 per cell]
O (0.4602, 0.1884, 0.5262) [4 per cell]

Main lines, in order of rising 2θ (10 to 90 degrees two-theta):
2theta	d (Å)	I (rel.)	h k l
13.40	6.607	49	1 1 -1
18.55	4.783	62	1 1 1
18.90	4.696	91	3 1 -1
19.11	4.643	52	2 0 -2
26.99	3.303	35	2 2 -2
29.32	3.046	68	3 1 1
29.84	2.994	75	0 2 2
30.40	2.941	58	3 1 -3
33.04	2.711	100	3 3 -1
51.48	1.775	36	6 4 -2

Starting from a structure optimized by DFT (PBE), the powder X-ray diffraction pattern of CdRh3F6 was computed for CuKα.

Structural model:
a b c (Å): 4.7637 6.7302 13.8699
angles (deg): 98.53 93.58 101.93
Space group P-1 (No. 2)
Unique sites:
Cd (0.0000, 0.0000, 0.0000) [1 per cell]
Rh (0.0000, 0.0000, 0.5000) [1 per cell]
Rh (0.0000, 0.5000, 0.0000) [1 per cell]
Rh (0.5000, 0.5000, 0.0000) [1 per cell]
F (0.0405, 0.7146, 0.9111) [2 per cell]
F (0.0676, 0.0671, 0.6366) [2 per cell]
F (0.4129, 0.1877, 0.9735) [2 per cell]

Main lines, in order of rising 2θ (10 to 90 degrees two-theta):
2theta	d (Å)	I (rel.)	h k l
12.97	6.826	100	0 0 2
14.10	6.281	17	0 1 -1
16.05	5.522	13	0 1 1
19.13	4.639	12	1 0 0
19.51	4.551	14	0 0 3
20.96	4.239	9	1 -1 0
26.11	3.413	13	0 0 4
27.47	3.247	11	0 2 0
28.43	3.140	11	0 2 -2
38.81	2.320	9	2 0 0

Starting from a structure optimized by DFT (PBE), the powder X-ray diffraction pattern of Na3MnN2 was computed for CuKα.

Structural model:
a b c (Å): 10.9723 10.9723 10.9723
angles (deg): 90.00 90.00 90.00
Space group Ia-3 (No. 206)
Unique sites:
Na (0.0897, 0.1567, 0.8906) [48 per cell]
Mn (0.1447, 0.1447, 0.1447) [16 per cell]
N (0.0000, 0.2500, 0.0726) [24 per cell]
N (0.2500, 0.2500, 0.2500) [8 per cell]

Main lines, in order of rising 2θ (10 to 90 degrees two-theta):
2theta	d (Å)	I (rel.)	h k l
19.82	4.479	59	2 1 1
30.48	2.932	43	3 1 2
32.64	2.743	100	4 0 0
34.69	2.586	33	4 1 1
41.99	2.152	83	4 3 1
46.84	1.940	82	4 4 0
51.33	1.780	36	5 2 3
62.17	1.493	23	7 1 2
74.37	1.275	29	8 3 1
76.71	1.242	16	7 5 2

Question: Which formula does entry 1 have?
Answer: Na3LaZnP2SO12

Question: Which formula does entry 2 have?
Answer: CdRh3F6